Simulated powder XRD pattern
Compound: Li4Mn3Fe3Co2O16
Radiation: a wavelength of 1.5418 Å
Structure: DFT lattice parameters and positions (PBE+U)
Kinematic intensities with the Lorentz-polarization factor, no thermal factor.

Cell and atoms:
Cell: 10.200 5.853 9.381 Å, 90.00 91.07 90.00°
Space group Cm (No. 8)
Asymmetric unit:
Li (0.000, 0.000, 0.000)
Li (0.003, 0.000, 0.502)
Li (0.168, 0.500, 0.899)
Li (0.333, 0.000, 0.399)
Mn (0.087, 0.254, 0.217)
Mn (0.175, 0.000, 0.719)
Fe (0.334, 0.500, 0.216)
Fe (0.418, 0.245, 0.717)
Co (0.171, 0.500, 0.489)
Co (0.339, 0.000, 0.986)
O (0.008, 0.000, 0.314)
O (0.009, 0.000, 0.812)
O (0.023, 0.500, 0.344)
O (0.090, 0.250, 0.603)
O (0.161, 0.500, 0.110)
O (0.164, 0.000, 0.108)
O (0.237, 0.279, 0.349)
O (0.260, 0.214, 0.849)
O (0.330, 0.000, 0.606)
O (0.332, 0.500, 0.600)
O (0.421, 0.247, 0.105)
O (0.479, 0.000, 0.853)

Peak list (8 most intense, 10 to 90 degrees two-theta, low angle first)
- 2θ 18.9, I 98, hkl 0 0 2
- 2θ 19.8, I 71, hkl 1 1 -1
- 2θ 20.0, I 100, hkl 1 1 1
- 2θ 36.3, I 52, hkl 3 1 2
- 2θ 36.7, I 51, hkl 4 0 1
- 2θ 45.8, I 42, hkl 2 2 -3
- 2θ 46.3, I 57, hkl 4 0 3
- 2θ 63.3, I 52, hkl 6 2 0

---

Simulated powder XRD pattern
Compound: LiFePO5
Radiation: a wavelength of 1.5418 Å
Structure: DFT lattice parameters and positions (PBE+U)
Kinematic intensities with the Lorentz-polarization factor, no thermal factor.

Cell and atoms:
Cell: 6.799 6.946 8.143 Å, 90.32 92.05 115.23°
Space group P-1 (No. 2)
Asymmetric unit:
Li (0.199, 0.200, 0.069)
Li (0.292, 0.727, 0.430)
Fe (0.253, 0.503, 0.752)
Fe (0.254, 0.003, 0.746)
P (0.239, 0.758, 0.088)
P (0.260, 0.245, 0.411)
O (0.053, 0.077, 0.321)
O (0.081, 0.632, 0.222)
O (0.142, 0.883, 0.978)
O (0.212, 0.410, 0.514)
O (0.228, 0.742, 0.668)
O (0.272, 0.259, 0.831)
O (0.300, 0.607, 0.981)
O (0.365, 0.134, 0.525)
O (0.412, 0.360, 0.270)
O (0.441, 0.920, 0.187)

Peak list (8 most intense, 10 to 90 degrees two-theta, low angle first)
- 2θ 17.7, I 31, hkl 1 0 -1
- 2θ 18.5, I 41, hkl 1 0 1
- 2θ 19.0, I 19, hkl 1 -1 1
- 2θ 21.8, I 23, hkl 0 0 2
- 2θ 28.0, I 100, hkl -1 2 1
- 2θ 29.1, I 64, hkl 2 0 0
- 2θ 35.7, I 42, hkl 1 0 -3
- 2θ 55.7, I 17, hkl 2 2 2

---

Simulated powder XRD pattern
Compound: CaFe2O5
Radiation: a wavelength of 1.5418 Å
Structure: DFT lattice parameters and positions (PBE+U)
Kinematic intensities with the Lorentz-polarization factor, no thermal factor.

Cell and atoms:
Cell: 3.861 11.760 11.076 Å, 90.00 90.00 90.00°
Space group Cmcm (No. 63)
Asymmetric unit:
Ca (0.000, 0.106, 0.250)
Fe (0.000, 0.209, 0.600)
O (0.000, 0.061, 0.650)
O (0.000, 0.241, 0.075)
O (0.000, 0.294, 0.750)

Peak list (8 most intense, 10 to 90 degrees two-theta, low angle first)
- 2θ 15.1, I 100, hkl 0 2 0
- 2θ 22.0, I 18, hkl 0 2 2
- 2θ 24.3, I 40, hkl 1 1 0
- 2θ 25.6, I 22, hkl 1 1 1
- 2θ 28.5, I 37, hkl 0 2 3
- 2θ 34.5, I 37, hkl 1 1 3
- 2θ 47.1, I 27, hkl 2 0 0
- 2θ 56.6, I 15, hkl 1 5 4